PmDySn2: calculated powder diffraction line list (Cu Kα), based on a DFT-relaxed cell (PBE, Alexandria).

Top 10 peaks for 10° ≤ 2θ ≤ 90°, sorted by position:
index  two_theta  intensity
1 1 1  29.43  100
0 1 3  30.38  16
0 0 4  30.96  36
1 1 3  36.90  72
0 2 0  39.51  26
2 0 0  41.59  23
0 2 4  51.02  18
2 0 4  52.74  16
2 2 0  58.70  17
2 2 4  67.85  15

Atomic structure:
Lattice parameters (Å, degrees): 4.343 4.562 11.552 90.00 90.00 90.00
Positions (direct):
Pm1 0.000 0.000 0.000
Pm2 0.000 0.500 0.500
Dy1 0.500 0.000 0.269
Dy2 0.500 0.500 0.769
Sn1 0.000 0.000 0.727
Sn2 0.000 0.500 0.227
Sn3 0.500 0.000 0.543
Sn4 0.500 0.500 0.043